Record 1
This entry pairs a crystal structure of U12FeNi with its calculated PXRD pattern. Radiation: Cu Kα, 1.54184 Å. Structure: the PBE geometry in Alexandria.
No peak broadening, texture or thermal motion is included.

The 10 most intense peaks (2θ = 15–90°), by angle:
2theta  I/Imax
34.7  27
36.1  100
45.2  13
57.7  7
58.2  8
63.1  21
64.4  7
65.6  10
75.3  12
82.8  17

```
U12FeNi
1.0
-5.112 5.112 2.588
5.112 -5.112 2.588
5.112 5.112 -2.588
U Fe Ni
12 1 1
Cartesian
6.177 2.886 -1.318 U
2.886 4.048 -1.318 U
4.149 -0.963 1.294 U
6.076 0.963 1.294 U
2.226 1.064 1.270 U
-1.064 2.226 1.270 U
4.048 2.886 1.318 U
2.226 -1.064 3.906 U
0.963 4.149 1.294 U
-0.963 6.076 1.294 U
2.886 6.177 1.318 U
1.064 2.226 3.906 U
0.000 0.000 0.000 Fe
0.000 0.000 2.588 Ni
```

Record 2
This entry pairs a crystal structure of VFeNi with its calculated PXRD pattern. Radiation: Cu Kα, 1.54184 Å. Structure: the PBE geometry in Alexandria.
No peak broadening, texture or thermal motion is included.

The 7 most intense peaks (2θ = 15–90°), by angle:
2theta  I/Imax
31.4  2
36.4  3
45.0  100
59.3  5
65.6  14
77.4  3
83.1  21

```
VFeNi
1.0
4.026 0.000 0.000
-2.013 3.486 0.000
0.000 0.000 4.930
V Fe Ni
2 2 2
Cartesian
0.000 2.324 1.233 V
2.013 1.162 3.698 V
0.000 0.000 0.000 Fe
0.000 0.000 2.465 Fe
0.000 2.324 3.698 Ni
2.013 1.162 1.233 Ni
```

Record 3
This entry pairs a crystal structure of V3FeNi12 with its calculated PXRD pattern. Radiation: Cu Kα, 1.54184 Å. Structure: the PBE geometry in Alexandria.
No peak broadening, texture or thermal motion is included.

The 7 most intense peaks (2θ = 15–90°), by angle:
2theta  I/Imax
25.0  1
35.7  1
44.1  100
51.2  16
51.4  31
75.5  18
75.7  9

```
V3FeNi12
1.0
3.554 0.000 0.000
0.000 3.554 0.000
0.000 0.000 14.265
V Fe Ni
3 1 12
Cartesian
0.000 0.000 0.000 V
0.000 0.000 3.614 V
0.000 0.000 10.652 V
0.000 0.000 7.133 Fe
0.000 1.777 1.786 Ni
0.000 1.777 5.340 Ni
0.000 1.777 8.925 Ni
0.000 1.777 12.479 Ni
1.777 0.000 1.786 Ni
1.777 0.000 5.340 Ni
1.777 0.000 8.925 Ni
1.777 0.000 12.479 Ni
1.777 1.777 0.000 Ni
1.777 1.777 3.556 Ni
1.777 1.777 7.133 Ni
1.777 1.777 10.710 Ni
```

Record 4
This entry pairs a crystal structure of V5Fe6Ni with its calculated PXRD pattern. Radiation: Cu Kα, 1.54184 Å. Structure: the PBE geometry in Alexandria.
No peak broadening, texture or thermal motion is included.

The 10 most intense peaks (2θ = 15–90°), by angle:
2theta  I/Imax
41.2  4
44.5  100
45.9  24
46.3  21
62.1  8
67.3  13
80.6  7
80.8  6
84.0  13
84.5  11

```
V5Fe6Ni
1.0
-1.976 2.990 5.883
1.976 -2.990 5.883
1.976 2.990 -5.883
V Fe Ni
5 6 1
Cartesian
0.000 0.000 0.000 V
1.976 0.000 2.071 V
0.000 0.000 4.149 V
0.000 0.000 7.617 V
0.000 2.990 3.811 V
1.976 -1.582 3.888 Fe
1.976 1.345 0.000 Fe
0.000 1.408 1.995 Fe
1.976 1.582 3.888 Fe
0.000 1.645 5.883 Fe
0.000 4.572 1.995 Fe
0.000 2.990 0.000 Ni
```

Record 5
This entry pairs a crystal structure of V3FeNi7 with its calculated PXRD pattern. Radiation: Cu Kα, 1.54184 Å. Structure: the PBE geometry in Alexandria.
No peak broadening, texture or thermal motion is included.

The 10 most intense peaks (2θ = 15–90°), by angle:
2theta  I/Imax
32.2  22
38.6  28
41.0  100
41.9  89
44.2  19
46.2  21
46.3  95
49.2  74
60.1  55
79.1  20

```
V3FeNi7
1.0
4.101 -4.310 0.000
4.101 4.310 0.000
-2.051 0.000 3.914
V Fe Ni
3 1 7
Cartesian
0.000 0.000 0.000 V
3.075 2.290 1.957 V
3.075 -2.290 1.957 V
4.101 0.000 0.000 Fe
0.994 2.311 3.226 Ni
0.214 0.000 2.389 Ni
5.157 2.311 0.689 Ni
3.075 0.000 1.957 Ni
0.994 -2.311 3.226 Ni
5.937 0.000 1.525 Ni
5.157 -2.311 0.689 Ni
```

Record 6
This entry pairs a crystal structure of VFeNi14 with its calculated PXRD pattern. Radiation: Cu Kα, 1.54184 Å. Structure: the PBE geometry in Alexandria.
No peak broadening, texture or thermal motion is included.

The 5 most intense peaks (2θ = 15–90°), by angle:
2theta  I/Imax
44.4  100
51.6  31
52.1  15
76.0  9
76.4  18

```
VFeNi14
1.0
5.010 0.000 0.000
0.000 5.010 0.000
0.000 0.000 7.023
V Fe Ni
1 1 14
Cartesian
0.000 0.000 0.000 V
2.505 2.505 0.000 Fe
0.000 0.000 3.512 Ni
0.000 2.505 0.000 Ni
0.000 2.505 3.512 Ni
1.251 1.251 1.753 Ni
1.251 1.251 5.271 Ni
1.251 3.759 1.753 Ni
1.251 3.759 5.271 Ni
2.505 0.000 0.000 Ni
2.505 0.000 3.512 Ni
2.505 2.505 3.512 Ni
3.759 1.251 1.753 Ni
3.759 1.251 5.271 Ni
3.759 3.759 1.753 Ni
3.759 3.759 5.271 Ni
```

Record 7
This entry pairs a crystal structure of V7Fe6Ni16 with its calculated PXRD pattern. Radiation: Cu Kα, 1.54184 Å. Structure: the PBE geometry in Alexandria.
No peak broadening, texture or thermal motion is included.

The 10 most intense peaks (2θ = 15–90°), by angle:
2theta  I/Imax
15.7  11
39.2  15
41.6  64
45.5  100
47.7  25
51.3  10
53.3  10
71.0  11
84.2  13
85.8  15

```
V7Fe6Ni16
1.0
0.000 5.635 5.635
5.635 0.000 5.635
5.635 5.635 0.000
V Fe Ni
7 6 16
Cartesian
0.000 0.000 0.000 V
2.817 2.817 0.000 V
2.817 0.000 2.817 V
5.635 2.817 2.817 V
0.000 2.817 2.817 V
2.817 5.635 2.817 V
2.817 2.817 5.635 V
5.635 5.635 3.283 Fe
5.635 3.283 5.635 Fe
7.987 5.635 5.635 Fe
3.283 5.635 5.635 Fe
5.635 7.987 5.635 Fe
5.635 5.635 7.987 Fe
3.740 1.895 1.895 Ni
1.327 1.327 1.327 Ni
4.307 4.307 1.327 Ni
4.307 1.327 4.307 Ni
1.895 3.740 1.895 Ni
1.895 1.895 3.740 Ni
3.740 3.740 3.740 Ni
9.942 6.962 6.962 Ni
1.327 4.307 4.307 Ni
7.530 7.530 7.530 Ni
9.375 9.375 7.530 Ni
9.375 7.530 9.375 Ni
6.962 9.942 6.962 Ni
6.962 6.962 9.942 Ni
9.942 9.942 9.942 Ni
7.530 9.375 9.375 Ni
```

Record 8
This entry pairs a crystal structure of V2Fe3Ni3 with its calculated PXRD pattern. Radiation: Cu Kα, 1.54184 Å. Structure: the PBE geometry in Alexandria.
No peak broadening, texture or thermal motion is included.

The 9 most intense peaks (2θ = 15–90°), by angle:
2theta  I/Imax
24.6  1
35.8  1
43.9  100
50.4  16
51.2  15
51.9  15
74.7  9
75.3  9
75.9  9

```
V2Fe3Ni3
1.0
3.571 0.000 0.000
0.000 3.621 0.000
0.000 0.000 7.046
V Fe Ni
2 3 3
Cartesian
0.000 0.000 1.710 V
0.000 0.000 5.336 V
0.000 1.811 0.000 Fe
1.786 0.000 0.000 Fe
1.786 0.000 3.523 Fe
0.000 1.811 3.523 Ni
1.786 1.811 1.786 Ni
1.786 1.811 5.260 Ni
```

Record 9
This entry pairs a crystal structure of Fe6Ni23W with its calculated PXRD pattern. Radiation: Cu Kα, 1.54184 Å. Structure: the PBE geometry in Alexandria.
No peak broadening, texture or thermal motion is included.

The 10 most intense peaks (2θ = 15–90°), by angle:
2theta  I/Imax
17.7  6
28.2  7
28.8  2
31.3  4
38.1  3
44.5  100
51.5  32
52.7  15
75.8  9
76.8  18

```
Fe6Ni23W
1.0
-3.551 3.551 6.945
3.551 -3.551 6.945
3.551 3.551 -6.945
Fe Ni W
6 23 1
Cartesian
0.000 0.000 3.463 Fe
1.809 1.809 0.000 Fe
1.741 -1.741 6.945 Fe
-1.741 1.741 6.945 Fe
1.741 1.741 6.945 Fe
0.000 0.000 10.426 Fe
1.775 1.775 -3.472 Ni
1.775 -1.775 3.472 Ni
3.551 0.000 0.000 Ni
3.551 1.767 -1.768 Ni
3.551 -1.728 5.160 Ni
1.823 0.000 1.785 Ni
5.278 0.000 1.785 Ni
1.767 3.551 -1.768 Ni
1.784 0.000 5.176 Ni
3.551 1.767 1.768 Ni
0.000 1.823 1.785 Ni
-1.775 1.775 3.472 Ni
0.000 3.551 0.000 Ni
0.000 0.000 6.945 Ni
1.775 1.775 3.472 Ni
3.551 1.728 5.160 Ni
0.000 1.784 5.176 Ni
1.767 3.551 1.768 Ni
1.784 0.000 8.713 Ni
-1.728 3.551 5.160 Ni
1.728 3.551 5.160 Ni
0.000 5.278 1.785 Ni
0.000 1.784 8.713 Ni
0.000 0.000 0.000 W
```

Record 10
This entry pairs a crystal structure of Fe4Ni12W with its calculated PXRD pattern. Radiation: Cu Kα, 1.54184 Å. Structure: the PBE geometry in Alexandria.
No peak broadening, texture or thermal motion is included.

The 10 most intense peaks (2θ = 15–90°), by angle:
2theta  I/Imax
23.9  34
34.1  24
38.2  45
42.0  98
45.6  69
48.9  100
52.1  24
58.1  40
71.7  47
89.2  24

```
Fe4Ni12W
1.0
-3.722 3.722 3.722
3.722 -3.722 3.722
3.722 3.722 -3.722
Fe Ni W
4 12 1
Cartesian
1.861 1.861 -1.861 Fe
1.861 -1.861 1.861 Fe
-1.861 1.861 1.861 Fe
1.861 1.861 1.861 Fe
2.287 0.000 0.000 Ni
5.157 0.000 0.000 Ni
3.722 1.861 0.000 Ni
3.722 0.000 1.861 Ni
0.000 2.287 0.000 Ni
0.000 0.000 2.287 Ni
1.861 3.722 0.000 Ni
1.861 0.000 3.722 Ni
0.000 5.157 0.000 Ni
0.000 0.000 5.157 Ni
0.000 3.722 1.861 Ni
0.000 1.861 3.722 Ni
0.000 0.000 0.000 W
```

Record 11
This entry pairs a crystal structure of YFe2Ni5 with its calculated PXRD pattern. Radiation: Cu Kα, 1.54184 Å. Structure: the PBE geometry in Alexandria.
No peak broadening, texture or thermal motion is included.

The 10 most intense peaks (2θ = 15–90°), by angle:
2theta  I/Imax
34.2  27
37.9  100
38.4  98
42.1  16
48.1  37
48.5  63
49.0  21
49.7  43
52.4  19
71.9  35

```
YFe2Ni5
1.0
3.669 0.000 0.000
0.000 6.620 0.000
0.000 0.000 9.127
Y Fe Ni
2 4 10
Cartesian
0.000 0.000 0.000 Y
1.835 3.310 4.564 Y
0.000 3.310 2.274 Fe
0.000 3.310 6.854 Fe
1.835 0.000 2.290 Fe
1.835 0.000 6.837 Fe
0.000 1.237 3.266 Ni
0.000 1.237 5.862 Ni
0.000 3.310 0.000 Ni
0.000 5.383 3.266 Ni
0.000 5.383 5.862 Ni
1.835 0.000 4.564 Ni
1.835 2.073 1.298 Ni
1.835 2.073 7.829 Ni
1.835 4.547 1.298 Ni
1.835 4.547 7.829 Ni
```

Record 12
This entry pairs a crystal structure of YZrFeNi with its calculated PXRD pattern. Radiation: Cu Kα, 1.54184 Å. Structure: the PBE geometry in Alexandria.
No peak broadening, texture or thermal motion is included.

The 8 most intense peaks (2θ = 15–90°), by angle:
2theta  I/Imax
27.3  5
38.9  100
48.2  1
56.2  16
63.6  2
70.5  32
83.6  10
89.9  1

```
YZrFeNi
1.0
6.545 0.000 0.000
0.000 6.545 0.000
0.000 0.000 6.545
Y Zr Fe Ni
4 4 4 4
Cartesian
0.000 0.000 0.000 Y
0.000 3.272 3.272 Y
3.272 0.000 3.272 Y
3.272 3.272 0.000 Y
0.000 0.000 3.272 Zr
0.000 3.272 0.000 Zr
3.272 0.000 0.000 Zr
3.272 3.272 3.272 Zr
1.636 1.636 4.909 Fe
1.636 4.909 1.636 Fe
4.909 1.636 1.636 Fe
4.909 4.909 4.909 Fe
1.636 1.636 1.636 Ni
1.636 4.909 4.909 Ni
4.909 1.636 4.909 Ni
4.909 4.909 1.636 Ni
```